Theoretical X-ray diffraction stick pattern of Tl3CrSn2Se6 for Cu Kα, 1.54184 Å, from DFT lattice parameters and positions (GGA-PBE).

Peak list (12 most intense, 15 to 90 degrees two-theta, sorted by position)
hkl 0 0 2, 3.784 Å, I = 10
hkl 1 3 0, 3.469 Å, I = 10
hkl 1 3 -1, 3.345 Å, I = 10
hkl 2 0 -2, 2.985 Å, I = 100
hkl 1 3 -2, 2.769 Å, I = 10
hkl 0 0 3, 2.523 Å, I = 6
hkl 2 0 2, 2.218 Å, I = 12
hkl 1 3 -3, 2.202 Å, I = 23
hkl 3 3 -1, 2.029 Å, I = 22
hkl 0 6 0, 2.021 Å, I = 11
hkl 2 6 -2, 1.673 Å, I = 11
hkl 2 6 2, 1.494 Å, I = 7

Crystal structure
a b c (Å): 7.0399 12.1254 7.9065
angles (deg): 90.00 106.81 90.00
Space group C2/m (No. 12)
One atom of each set of equivalent atoms:
Tl: 0.0000 0.0000 0.0000 (multiplicity 2)
Tl: 0.0000 0.3247 0.0000 (multiplicity 4)
Cr: 0.0000 0.5000 0.5000 (multiplicity 2)
Sn: 0.0000 0.1661 0.5000 (multiplicity 4)
Se: 0.2122 0.3510 0.6915 (multiplicity 8)
Se: 0.2322 0.5000 0.3003 (multiplicity 4)

Theoretical X-ray diffraction stick pattern of Ta2CrTe4Se2 for Cu Kα, 1.54184 Å, from DFT lattice parameters and positions (GGA-PBE).

Peak list (12 most intense, 15 to 90 degrees two-theta, sorted by position)
hkl 1 0 0, 3.133 Å, I = 66
hkl 0 1 3, 2.877 Å, I = 17
hkl 0 1 4, 2.717 Å, I = 68
hkl 0 1 5, 2.545 Å, I = 100
hkl 1 0 6, 2.374 Å, I = 17
hkl 0 1 7, 2.210 Å, I = 43
hkl 1 0 8, 2.057 Å, I = 37
hkl 1 1 0, 1.809 Å, I = 52
hkl 1 1 3, 1.755 Å, I = 15
hkl 2 0 5, 1.474 Å, I = 18
hkl 1 1 12, 1.282 Å, I = 20
hkl 1 2 5, 1.143 Å, I = 16

Crystal structure
a b c (Å): 3.6175 3.6175 21.8232
angles (deg): 90.00 90.00 120.00
Space group P3m1 (No. 156)
One atom of each set of equivalent atoms:
Ta: 0.0000 0.0000 0.0000 (multiplicity 1)
Ta: 0.3333 0.6667 0.3426 (multiplicity 1)
Cr: 0.3333 0.6667 0.6912 (multiplicity 1)
Te: 0.0000 0.0000 0.2571 (multiplicity 1)
Te: 0.0000 0.0000 0.4284 (multiplicity 1)
Te: 0.3333 0.6667 0.0860 (multiplicity 1)
Te: 0.3333 0.6667 0.9147 (multiplicity 1)
Se: 0.0000 0.0000 0.6232 (multiplicity 1)
Se: 0.0000 0.0000 0.7596 (multiplicity 1)

Theoretical X-ray diffraction stick pattern of Cr5Te6Se2 for Cu Kα, 1.54184 Å, from DFT lattice parameters and positions (GGA-PBE).

Peak list (12 most intense, 15 to 90 degrees two-theta, sorted by position)
hkl 0 0 8, 3.090 Å, I = 14
hkl 1 0 4, 2.929 Å, I = 100
hkl 1 0 8, 2.264 Å, I = 36
hkl 1 1 0, 1.920 Å, I = 32
hkl 0 1 12, 1.752 Å, I = 19
hkl 1 1 8, 1.631 Å, I = 12
hkl 0 2 4, 1.606 Å, I = 16
hkl 0 2 8, 1.464 Å, I = 8
hkl 2 0 12, 1.294 Å, I = 7
hkl 2 1 4, 1.232 Å, I = 13
hkl 1 1 16, 1.204 Å, I = 9
hkl 2 1 8, 1.164 Å, I = 8

Crystal structure
a b c (Å): 3.8401 3.8401 24.7271
angles (deg): 90.00 90.00 120.00
Space group P3m1 (No. 156)
One atom of each set of equivalent atoms:
Cr: 0.0000 0.0000 0.0000 (multiplicity 1)
Cr: 0.0000 0.0000 0.1334 (multiplicity 1)
Cr: 0.0000 0.0000 0.2717 (multiplicity 1)
Cr: 0.0000 0.0000 0.5162 (multiplicity 1)
Cr: 0.0000 0.0000 0.7502 (multiplicity 1)
Te: 0.3333 0.6667 0.2001 (multiplicity 1)
Te: 0.3333 0.6667 0.4498 (multiplicity 1)
Te: 0.3333 0.6667 0.6872 (multiplicity 1)
Te: 0.3333 0.6667 0.9393 (multiplicity 1)
Te: 0.6667 0.3333 0.0678 (multiplicity 1)
Te: 0.6667 0.3333 0.8124 (multiplicity 1)
Se: 0.6667 0.3333 0.3194 (multiplicity 1)
Se: 0.6667 0.3333 0.5651 (multiplicity 1)

> Number 1 is which compound?

Tl3CrSn2Se6